Calculated X-ray diffraction stick pattern
Compound: GeTe3N
Radiation: Cu Kα X-rays
Structure: the PBE geometry in Alexandria
Lines closer than 0.1° are merged.

The 10 most intense peaks (2θ = 10–90°), low angle first:
18.5°, I 7, (1 0 0); 26.3°, I 2, (1 1 0); 32.3°, I 100, (1 1 1); 37.5°, I 56, (2 0 0); 42.1°, I 3, (2 1 0); 54.0°, I 38, (2 2 0); 64.4°, I 41, (3 1 1); 67.6°, I 13, (2 2 2); 79.9°, I 6, (4 0 0); 88.8°, I 17, (3 3 1)

Structure:
Cell lengths 4.8008, 4.8008, 4.8008 Å; angles 90.00, 90.00, 90.00 degrees
Fractional coordinates of all 5 atoms:
Ge (0.0000, 0.0000, 0.0000)
Te (0.0000, 0.5000, 0.5000)
Te (0.5000, 0.0000, 0.5000)
Te (0.5000, 0.5000, 0.0000)
N (0.5000, 0.5000, 0.5000)